Sr2AlCr2GaO7: simulated XRD peak list (Cu Kα X-rays), based on a PBE+U-relaxed structure.

Largest 6 diffraction maxima, in order of falling intensity, 10° ≤ 2θ ≤ 80°:
- 32.65°, 2.742 Å, intensity 100
- 34.82°, 2.576 Å, intensity 96
- 31.09°, 2.876 Å, intensity 85
- 31.24°, 2.864 Å, intensity 82
- 36.65°, 2.452 Å, intensity 64
- 28.85°, 3.095 Å, intensity 60

```
data_Sr2AlCr2GaO7
_chemical_formula_sum 'Sr4 Al2 Cr4 Ga2 O14'
_cell_length_a 5.1530
_cell_length_b 5.5173
_cell_length_c 12.5922
_cell_angle_alpha 96.66
_cell_angle_beta 101.34
_cell_angle_gamma 90.12
_space_group_name_H-M_alt 'P 1'
_space_group_IT_number 1
loop_
_space_group_symop_operation_xyz
'x,y,z'
loop_
_atom_site_label
_atom_site_type_symbol
_atom_site_fract_x
_atom_site_fract_y
_atom_site_fract_z
_atom_site_occupancy
Sr1 Sr 0.0000 0.0000 0.0000 1
Sr2 Sr 0.1796 0.0928 0.3789 1
Sr3 Sr 0.4829 0.4660 0.0008 1
Sr4 Sr 0.6655 0.5579 0.3802 1
Al1 Al 0.3339 0.2782 0.6898 1
Al2 Al 0.8341 0.7786 0.6900 1
Cr1 Cr 0.2778 0.6622 0.5700 1
Cr2 Cr 0.3901 0.8945 0.8098 1
Cr3 Cr 0.7739 0.1602 0.5704 1
Cr4 Cr 0.8938 0.3966 0.8094 1
Ga1 Ga 0.0341 0.5976 0.1901 1
Ga2 Ga 0.5432 0.9613 0.1901 1
O1 O 0.0017 0.4767 0.6325 1
O2 O 0.0242 0.4528 0.0481 1
O3 O 0.0466 0.7460 0.8294 1
O4 O 0.1107 0.9768 0.6320 1
O5 O 0.1620 0.5289 0.3320 1
O6 O 0.1720 0.9189 0.1886 1
O7 O 0.2529 0.2431 0.8279 1
O8 O 0.4146 0.3131 0.5516 1
O9 O 0.5373 0.0292 0.0480 1
O10 O 0.5572 0.5798 0.7477 1
O11 O 0.6214 0.8111 0.5508 1
O12 O 0.6663 0.0802 0.7473 1
O13 O 0.6661 0.6378 0.1918 1
O14 O 0.6723 0.1061 0.3320 1
```